(1)
Diffraction record for MoWSe2S2. The PXRD pattern is computed, not measured: it uses a GGA-PBE-relaxed structure and Cu Kα (weighted mean of Kα1 and Kα2).

Largest 8 diffraction maxima, in order of rising 2θ, 2θ = 10–90°:
d [Å]	two_theta	Rel. int.	hkl
7.391	11.97	1000	0 0 5
6.159	14.38	237	0 0 6
2.816	31.78	326	1 0 0
2.406	37.38	591	1 0 8
2.324	38.75	161	1 0 9
2.001	45.31	374	0 1 13
1.927	47.18	160	1 0 14
1.627	56.58	246	1 1 0

Atomic structure:
Cell lengths 3.254, 3.254, 36.956 Å; angles 90.00, 90.00, 120.00 degrees
Fractional positions:
Mo: 0.333 0.667 0.218
Mo: 0.667 0.333 0.782
W: 0.333 0.667 0.594
W: 0.667 0.333 0.406
Se: 0.333 0.667 0.360
Se: 0.333 0.667 0.452
Se: 0.667 0.333 0.548
Se: 0.667 0.333 0.640
S: 0.333 0.667 0.740
S: 0.333 0.667 0.824
S: 0.667 0.333 0.176
S: 0.667 0.333 0.260

(2)
Diffraction record for MoW3Se6S2. The PXRD pattern is computed, not measured: it uses a GGA-PBE-relaxed structure and Cu Kα (weighted mean of Kα1 and Kα2).

Largest 8 diffraction maxima, in order of rising 2θ, 2θ = 10–90°:
d [Å]	two_theta	Rel. int.	hkl
7.579	11.68	1000	0 0 5
6.316	14.02	197	0 0 6
2.848	31.41	292	1 0 0
2.667	33.61	141	1 0 5
2.441	36.81	607	1 0 8
2.037	44.47	395	0 1 13
1.962	46.27	127	1 0 14
1.645	55.89	184	1 1 0

Atomic structure:
Cell lengths 3.290, 3.290, 37.894 Å; angles 90.00, 90.00, 120.00 degrees
Fractional positions:
Mo: 0.000 0.000 0.000
W: 0.000 0.000 0.376
W: 0.667 0.333 0.188
W: 0.667 0.333 0.812
Se: 0.000 0.000 0.767
Se: 0.000 0.000 0.857
Se: 0.667 0.333 0.044
Se: 0.667 0.333 0.331
Se: 0.667 0.333 0.420
Se: 0.667 0.333 0.956
S: 0.000 0.000 0.147
S: 0.000 0.000 0.229

(3)
Diffraction record for MoW3Se6S2. The PXRD pattern is computed, not measured: it uses a GGA-PBE-relaxed structure and Cu Kα (weighted mean of Kα1 and Kα2).

Largest 8 diffraction maxima, in order of rising 2θ, 2θ = 10–90°:
d [Å]	two_theta	Rel. int.	hkl
7.477	11.84	1000	0 0 5
6.231	14.21	239	0 0 6
2.845	31.45	316	1 0 0
2.660	33.69	134	1 0 5
2.431	36.98	630	1 0 8
2.023	44.80	395	1 0 13
1.948	46.64	144	0 1 14
1.643	55.96	219	1 1 0

Atomic structure:
Cell lengths 3.287, 3.287, 37.387 Å; angles 90.00, 90.00, 120.00 degrees
Fractional positions:
Mo: 0.000 0.000 0.000
W: 0.000 0.000 0.376
W: 0.333 0.667 0.188
W: 0.333 0.667 0.564
Se: 0.000 0.000 0.518
Se: 0.000 0.000 0.609
Se: 0.333 0.667 0.045
Se: 0.333 0.667 0.330
Se: 0.333 0.667 0.421
Se: 0.333 0.667 0.955
S: 0.000 0.000 0.147
S: 0.000 0.000 0.229

(4)
Diffraction record for MoW3Se6S2. The PXRD pattern is computed, not measured: it uses a GGA-PBE-relaxed structure and Cu Kα (weighted mean of Kα1 and Kα2).

Largest 8 diffraction maxima, in order of rising 2θ, 2θ = 10–90°:
d [Å]	two_theta	Rel. int.	hkl
7.518	11.77	1000	0 0 5
6.265	14.14	193	0 0 6
2.851	31.38	270	1 0 0
2.666	33.61	142	1 0 5
2.438	36.87	632	1 0 8
2.030	44.63	396	0 1 13
1.955	46.45	127	1 0 14
1.646	55.84	206	1 1 0

Atomic structure:
Cell lengths 3.293, 3.293, 37.588 Å; angles 90.00, 90.00, 120.00 degrees
Fractional positions:
Mo: 0.000 0.000 0.000
W: 0.000 0.000 0.376
W: 0.667 0.333 0.188
W: 0.667 0.333 0.812
Se: 0.000 0.000 0.143
Se: 0.000 0.000 0.233
Se: 0.000 0.000 0.767
Se: 0.000 0.000 0.857
Se: 0.667 0.333 0.331
Se: 0.667 0.333 0.421
S: 0.667 0.333 0.041
S: 0.667 0.333 0.959

(5)
Diffraction record for MoWSe2S2. The PXRD pattern is computed, not measured: it uses a GGA-PBE-relaxed structure and Cu Kα (weighted mean of Kα1 and Kα2).

Largest 8 diffraction maxima, in order of rising 2θ, 2θ = 10–90°:
d [Å]	two_theta	Rel. int.	hkl
7.374	12.00	1000	0 0 5
6.145	14.41	179	0 0 6
2.820	31.72	251	1 0 0
2.635	34.03	152	1 0 5
2.406	37.38	644	1 0 8
2.240	40.25	185	1 0 10
2.000	45.34	370	0 1 13
1.629	56.51	186	1 1 0

Atomic structure:
Cell lengths 3.257, 3.257, 36.872 Å; angles 90.00, 90.00, 120.00 degrees
Fractional positions:
Mo: 0.333 0.667 0.094
Mo: 0.667 0.333 0.906
W: 0.333 0.667 0.718
W: 0.667 0.333 0.282
Se: 0.333 0.667 0.236
Se: 0.333 0.667 0.328
Se: 0.667 0.333 0.672
Se: 0.667 0.333 0.764
S: 0.333 0.667 0.864
S: 0.333 0.667 0.948
S: 0.667 0.333 0.052
S: 0.667 0.333 0.136

(6)
Diffraction record for MoWSe3S. The PXRD pattern is computed, not measured: it uses a GGA-PBE-relaxed structure and Cu Kα (weighted mean of Kα1 and Kα2).

Largest 8 diffraction maxima, in order of rising 2θ, 2θ = 10–90°:
d [Å]	two_theta	Rel. int.	hkl
7.482	11.83	1000	0 0 5
6.235	14.21	194	0 0 6
2.848	31.41	359	1 0 0
2.664	33.65	132	1 0 5
2.434	36.93	662	1 0 8
2.025	44.75	432	0 1 13
1.949	46.59	164	1 0 14
1.645	55.88	261	1 1 0

Atomic structure:
Cell lengths 3.291, 3.291, 37.408 Å; angles 90.00, 90.00, 120.00 degrees
Fractional positions:
Mo: 0.000 0.000 0.000
Mo: 0.333 0.667 0.188
W: 0.000 0.000 0.376
W: 0.333 0.667 0.564
Se: 0.000 0.000 0.143
Se: 0.000 0.000 0.233
Se: 0.000 0.000 0.518
Se: 0.000 0.000 0.609
Se: 0.333 0.667 0.330
Se: 0.333 0.667 0.421
S: 0.333 0.667 0.041
S: 0.333 0.667 0.959

(7)
Diffraction record for MoWSe3S. The PXRD pattern is computed, not measured: it uses a GGA-PBE-relaxed structure and Cu Kα (weighted mean of Kα1 and Kα2).

Largest 8 diffraction maxima, in order of rising 2θ, 2θ = 10–90°:
d [Å]	two_theta	Rel. int.	hkl
7.388	11.98	1000	0 0 5
6.157	14.39	198	0 0 6
2.849	31.40	326	1 0 0
2.659	33.70	160	1 0 5
2.425	37.07	715	0 1 8
2.012	45.05	431	1 0 13
1.645	55.88	238	1 1 0
1.606	57.36	135	1 1 5

Atomic structure:
Cell lengths 3.291, 3.291, 36.942 Å; angles 90.00, 90.00, 120.00 degrees
Fractional positions:
Mo: 0.000 0.000 0.000
Mo: 0.000 0.000 0.378
W: 0.333 0.667 0.188
W: 0.333 0.667 0.564
Se: 0.000 0.000 0.142
Se: 0.000 0.000 0.234
Se: 0.000 0.000 0.518
Se: 0.000 0.000 0.610
Se: 0.333 0.667 0.046
Se: 0.333 0.667 0.954
S: 0.333 0.667 0.336
S: 0.333 0.667 0.419

(8)
Diffraction record for MoWSe2S2. The PXRD pattern is computed, not measured: it uses a GGA-PBE-relaxed structure and Cu Kα (weighted mean of Kα1 and Kα2).

Largest 8 diffraction maxima, in order of rising 2θ, 2θ = 10–90°:
d [Å]	two_theta	Rel. int.	hkl
7.378	11.99	1000	0 0 5
6.149	14.41	192	0 0 6
2.815	31.78	361	1 0 0
2.633	34.06	164	1 0 5
2.405	37.40	621	1 0 8
2.000	45.35	384	0 1 13
1.925	47.22	146	1 0 14
1.627	56.58	228	1 1 0

Atomic structure:
Cell lengths 3.254, 3.254, 36.892 Å; angles 90.00, 90.00, 120.00 degrees
Fractional positions:
Mo: 0.000 0.000 0.000
Mo: 0.000 0.000 0.376
W: 0.333 0.667 0.188
W: 0.333 0.667 0.564
Se: 0.000 0.000 0.142
Se: 0.000 0.000 0.234
Se: 0.333 0.667 0.330
Se: 0.333 0.667 0.422
S: 0.000 0.000 0.522
S: 0.000 0.000 0.606
S: 0.333 0.667 0.042
S: 0.333 0.667 0.958

(9)
Diffraction record for Mo2WSe4S2. The PXRD pattern is computed, not measured: it uses a GGA-PBE-relaxed structure and Cu Kα (weighted mean of Kα1 and Kα2).

Largest 8 diffraction maxima, in order of rising 2θ, 2θ = 10–90°:
d [Å]	two_theta	Rel. int.	hkl
7.549	11.72	1000	0 0 4
6.039	14.67	196	0 0 5
2.840	31.51	239	1 0 0
2.473	36.33	405	0 1 6
2.372	37.93	481	1 0 7
2.069	43.76	239	0 1 10
1.974	45.98	364	1 0 11
1.639	56.13	270	1 1 0

Atomic structure:
Cell lengths 3.279, 3.279, 30.197 Å; angles 90.00, 90.00, 120.00 degrees
Fractional positions:
Mo: 0.000 0.000 0.000
Mo: 0.000 0.000 0.463
W: 0.333 0.667 0.231
Se: 0.000 0.000 0.175
Se: 0.000 0.000 0.288
Se: 0.333 0.667 0.407
Se: 0.333 0.667 0.519
S: 0.333 0.667 0.051
S: 0.333 0.667 0.949

(10)
Diffraction record for MoWSe2S2. The PXRD pattern is computed, not measured: it uses a GGA-PBE-relaxed structure and Cu Kα (weighted mean of Kα1 and Kα2).

Largest 8 diffraction maxima, in order of rising 2θ, 2θ = 10–90°:
d [Å]	two_theta	Rel. int.	hkl
7.380	11.99	1000	0 0 5
6.150	14.40	145	0 0 6
2.813	31.82	401	1 0 0
2.631	34.07	163	1 0 5
2.403	37.42	636	1 0 8
1.999	45.37	387	0 1 13
1.924	47.23	131	1 0 14
1.626	56.62	213	1 1 0

Atomic structure:
Cell lengths 3.252, 3.252, 36.901 Å; angles 90.00, 90.00, 120.00 degrees
Fractional positions:
Mo: 0.333 0.667 0.094
Mo: 0.667 0.333 0.906
W: 0.333 0.667 0.718
W: 0.667 0.333 0.282
Se: 0.333 0.667 0.860
Se: 0.333 0.667 0.952
Se: 0.667 0.333 0.048
Se: 0.667 0.333 0.140
S: 0.333 0.667 0.240
S: 0.333 0.667 0.324
S: 0.667 0.333 0.676
S: 0.667 0.333 0.760

(11)
Diffraction record for MoW3Se4S4. The PXRD pattern is computed, not measured: it uses a GGA-PBE-relaxed structure and Cu Kα (weighted mean of Kα1 and Kα2).

Largest 8 diffraction maxima, in order of rising 2θ, 2θ = 10–90°:
d [Å]	two_theta	Rel. int.	hkl
7.385	11.98	1000	0 0 5
6.154	14.39	198	0 0 6
2.816	31.77	278	1 0 0
2.633	34.05	151	1 0 5
2.405	37.39	603	1 0 8
2.000	45.33	355	0 1 13
1.926	47.20	121	1 0 14
1.627	56.58	198	1 1 0

Atomic structure:
Cell lengths 3.254, 3.254, 36.923 Å; angles 90.00, 90.00, 120.00 degrees
Fractional positions:
Mo: 0.000 0.000 0.000
W: 0.000 0.000 0.376
W: 0.667 0.333 0.188
W: 0.667 0.333 0.812
Se: 0.000 0.000 0.142
Se: 0.000 0.000 0.234
Se: 0.667 0.333 0.329
Se: 0.667 0.333 0.422
S: 0.000 0.000 0.770
S: 0.000 0.000 0.854
S: 0.667 0.333 0.042
S: 0.667 0.333 0.958

(12)
Diffraction record for MoWSe3S. The PXRD pattern is computed, not measured: it uses a GGA-PBE-relaxed structure and Cu Kα (weighted mean of Kα1 and Kα2).

Largest 8 diffraction maxima, in order of rising 2θ, 2θ = 10–90°:
d [Å]	two_theta	Rel. int.	hkl
7.471	11.85	1000	0 0 5
6.226	14.23	221	0 0 6
2.844	31.45	341	1 0 0
2.660	33.70	131	1 0 5
2.430	36.99	664	1 0 8
2.022	44.82	421	1 0 13
1.947	46.66	143	1 0 14
1.643	55.97	226	1 1 0

Atomic structure:
Cell lengths 3.286, 3.286, 37.354 Å; angles 90.00, 90.00, 120.00 degrees
Fractional positions:
Mo: 0.000 0.000 0.000
Mo: 0.333 0.667 0.188
W: 0.000 0.000 0.376
W: 0.333 0.667 0.564
Se: 0.000 0.000 0.143
Se: 0.000 0.000 0.233
Se: 0.000 0.000 0.518
Se: 0.000 0.000 0.609
Se: 0.333 0.667 0.045
Se: 0.333 0.667 0.955
S: 0.333 0.667 0.334
S: 0.333 0.667 0.417